1.
For CeNdSm6Ho2, a DFT-relaxed cell (GGA-PBE, Alexandria) gives the calculated X-ray diffraction stick pattern in this record (Cu Kα, 1.54184 Å).
Lines closer than 0.1° are merged.

Structure:
abc: 6.6576 6.6576 8.9613
angles: 102.21 102.21 61.98
Element x y z (fractional)
Ce: 0.0000 0.0000 0.0000
Nd: 0.5000 0.5000 0.5000
Sm: 0.0920 0.5685 0.1973
Sm: 0.1293 0.1293 0.4160
Sm: 0.4315 0.9080 0.8027
Sm: 0.5685 0.0920 0.1973
Sm: 0.8707 0.8707 0.5840
Sm: 0.9080 0.4315 0.8027
Ho: 0.4094 0.4094 0.8377
Ho: 0.5906 0.5906 0.1623

Peak list (8 most intense, 2θ from 15° to 90°, by angle)
2θ/deg	d/Å	intensity
27.2	3.284	44
30.6	2.918	69
31.1	2.876	100
31.4	2.846	55
32.7	2.738	36
33.3	2.690	34
33.9	2.647	30
56.0	1.642	40

2.
For Sm8Dy6Tl, a DFT-relaxed cell (GGA-PBE, Alexandria) gives the calculated X-ray diffraction stick pattern in this record (Cu Kα, 1.54184 Å).
Lines closer than 0.1° are merged.

Structure:
abc: 9.3860 9.3860 6.4561
angles: 90.00 90.00 120.00
Element x y z (fractional)
Sm: 0.0413 0.7708 0.1824
Sm: 0.2292 0.2705 0.1824
Sm: 0.2705 0.0413 0.8176
Sm: 0.3333 0.6667 0.1623
Sm: 0.6667 0.3333 0.8377
Sm: 0.7295 0.9587 0.1824
Sm: 0.7708 0.7295 0.8176
Sm: 0.9587 0.2292 0.8176
Dy: 0.0965 0.6449 0.6726
Dy: 0.3551 0.4516 0.6726
Dy: 0.4516 0.0965 0.3274
Dy: 0.5484 0.9035 0.6726
Dy: 0.6449 0.5484 0.3274
Dy: 0.9035 0.3551 0.3274
Tl: 0.0000 0.0000 0.5000

Peak list (8 most intense, 2θ from 15° to 90°, by angle)
2θ/deg	d/Å	intensity
25.9	3.439	19
29.1	3.072	23
29.8	3.000	16
32.3	2.774	100
33.7	2.660	27
40.5	2.225	12
51.5	1.774	19
59.4	1.556	13

3.
For Rb3GeS3, a DFT-relaxed cell (GGA-PBE, Alexandria) gives the calculated X-ray diffraction stick pattern in this record (Cu Kα, 1.54184 Å).
Lines closer than 0.1° are merged.

Structure:
abc: 10.4830 10.4830 13.2677
angles: 90.00 90.00 39.88
Element x y z (fractional)
Rb: 0.0224 0.3307 0.8692
Rb: 0.1497 0.8503 0.8372
Rb: 0.1693 0.4776 0.6308
Rb: 0.3307 0.0224 0.1308
Rb: 0.3503 0.6497 0.3372
Rb: 0.4776 0.1693 0.3692
Rb: 0.5224 0.8307 0.6308
Rb: 0.6497 0.3503 0.6628
Rb: 0.6693 0.9776 0.8692
Rb: 0.8307 0.5224 0.3692
Rb: 0.8503 0.1497 0.1628
Rb: 0.9776 0.6693 0.1308
Ge: 0.0826 0.0826 0.5000
Ge: 0.4174 0.4174 0.0000
Ge: 0.5826 0.5826 0.0000
Ge: 0.9174 0.9174 0.5000
S: 0.0094 0.6867 0.3873
S: 0.1867 0.5094 0.8873
S: 0.2134 0.7866 0.5877
S: 0.2866 0.7134 0.0877
S: 0.3133 0.9906 0.3873
S: 0.4906 0.8133 0.8873
S: 0.5094 0.1867 0.1127
S: 0.6867 0.0094 0.6127
S: 0.7134 0.2866 0.9123
S: 0.7866 0.2134 0.4123
S: 0.8133 0.4906 0.1127
S: 0.9906 0.3133 0.6127

Peak list (8 most intense, 2θ from 15° to 90°, by angle)
2θ/deg	d/Å	intensity
22.7	3.909	69
24.1	3.695	88
26.7	3.341	62
26.9	3.317	47
27.1	3.285	60
27.4	3.258	88
31.6	2.827	45
38.6	2.333	100

4.
For Pm2Nd5Pt4, a DFT-relaxed cell (GGA-PBE, Alexandria) gives the calculated X-ray diffraction stick pattern in this record (Cu Kα, 1.54184 Å).
Lines closer than 0.1° are merged.

Structure:
abc: 12.7340 12.7340 6.9794
angles: 93.23 93.23 17.40
Element x y z (fractional)
Pm: 0.0893 0.0893 0.1571
Pm: 0.9107 0.9107 0.8429
Nd: 0.1337 0.1337 0.6890
Nd: 0.2323 0.2323 0.2317
Nd: 0.5000 0.5000 0.5000
Nd: 0.7677 0.7677 0.7683
Nd: 0.8663 0.8663 0.3110
Pt: 0.0251 0.0251 0.8041
Pt: 0.3309 0.3309 0.0072
Pt: 0.6691 0.6691 0.9928
Pt: 0.9749 0.9749 0.1959

Peak list (8 most intense, 2θ from 15° to 90°, by angle)
2θ/deg	d/Å	intensity
23.4	3.808	42
28.8	3.098	100
30.5	2.927	75
35.1	2.559	84
39.9	2.261	36
42.2	2.140	41
42.6	2.122	53
47.2	1.926	38

5.
For Tb2NdAg2Pb2, a DFT-relaxed cell (GGA-PBE, Alexandria) gives the calculated X-ray diffraction stick pattern in this record (Cu Kα, 1.54184 Å).
Lines closer than 0.1° are merged.

Structure:
abc: 9.2583 9.2583 9.2583
angles: 31.09 31.09 31.09
Element x y z (fractional)
Tb: 0.1348 0.1348 0.1348
Tb: 0.8652 0.8652 0.8652
Nd: 0.0000 0.0000 0.0000
Ag: 0.4423 0.4423 0.4423
Ag: 0.5577 0.5577 0.5577
Pb: 0.2656 0.2656 0.2656
Pb: 0.7344 0.7344 0.7344

Peak list (8 most intense, 2θ from 15° to 90°, by angle)
2θ/deg	d/Å	intensity
31.6	2.835	94
34.2	2.618	23
36.2	2.481	100
40.1	2.250	14
48.8	1.867	28
62.2	1.492	27
64.9	1.436	16
65.1	1.433	18

6.
For RbCe2Se5, a DFT-relaxed cell (GGA-PBE, Alexandria) gives the calculated X-ray diffraction stick pattern in this record (Cu Kα, 1.54184 Å).
Lines closer than 0.1° are merged.

Structure:
abc: 8.5501 8.5501 8.5501
angles: 150.21 129.06 60.13
Element x y z (fractional)
Rb: 0.0000 0.0000 0.0000
Ce: 0.3080 0.8080 0.5000
Ce: 0.6920 0.1920 0.5000
Se: 0.0993 0.3471 0.7522
Se: 0.4051 0.6529 0.7522
Se: 0.5000 0.0000 0.5000
Se: 0.5949 0.3471 0.2478
Se: 0.9007 0.6529 0.2478

Peak list (8 most intense, 2θ from 15° to 90°, by angle)
2θ/deg	d/Å	intensity
21.7	4.097	45
23.6	3.773	40
26.5	3.362	38
32.3	2.770	100
34.4	2.608	41
36.7	2.448	53
41.1	2.198	45
44.4	2.042	44